U4Ru: simulated PXRD pattern (a wavelength of 1.5418 Å), based on the PBE geometry in Alexandria.
No peak broadening, texture or thermal motion is included.

The 10 most intense peaks (2θ from 10° to 90°), sorted by position:
28.8 deg, intensity 13
35.1 deg, intensity 32
36.9 deg, intensity 100
46.0 deg, intensity 8
46.3 deg, intensity 24
56.4 deg, intensity 9
59.4 deg, intensity 24
64.2 deg, intensity 21
78.4 deg, intensity 8
79.5 deg, intensity 15

Cell lengths 6.2059, 6.2059, 5.1078 Å; angles 90.00, 90.00, 90.00 degrees
Space group I4/m (No. 87)
Unique sites:
U (0.1310, 0.2765, 0.0000) (multiplicity 8)
Ru (0.0000, 0.0000, 0.5000) (multiplicity 2)

---

CeSn4Pd2: simulated PXRD pattern (a wavelength of 1.5418 Å), based on the PBE geometry in Alexandria.
No peak broadening, texture or thermal motion is included.

The 10 most intense peaks (2θ from 10° to 90°), sorted by position:
32.7 deg, intensity 100
34.0 deg, intensity 14
34.7 deg, intensity 19
37.2 deg, intensity 10
39.4 deg, intensity 30
42.3 deg, intensity 24
53.5 deg, intensity 11
60.9 deg, intensity 8
61.0 deg, intensity 13
67.2 deg, intensity 13

Cell lengths 19.3480, 4.5747, 7.2973 Å; angles 90.00, 90.00, 90.00 degrees
Space group Pnma (No. 62)
Unique sites:
Ce (0.1390, 0.2500, 0.0119) (multiplicity 4)
Sn (0.0308, 0.7500, 0.1389) (multiplicity 4)
Sn (0.0674, 0.2500, 0.5144) (multiplicity 4)
Sn (0.1816, 0.7500, 0.7106) (multiplicity 4)
Sn (0.1972, 0.7500, 0.2839) (multiplicity 4)
Pd (0.0363, 0.7500, 0.7534) (multiplicity 4)
Pd (0.2107, 0.2500, 0.4885) (multiplicity 4)

---

La5PrSc2: simulated PXRD pattern (a wavelength of 1.5418 Å), based on the PBE geometry in Alexandria.
No peak broadening, texture or thermal motion is included.

The 10 most intense peaks (2θ from 10° to 90°), sorted by position:
18.6 deg, intensity 27
27.9 deg, intensity 100
29.8 deg, intensity 77
32.0 deg, intensity 37
32.2 deg, intensity 85
32.3 deg, intensity 55
32.7 deg, intensity 66
46.4 deg, intensity 26
57.2 deg, intensity 25
58.1 deg, intensity 24

Cell lengths 5.4794, 11.8930, 16.6847 Å; angles 90.00, 90.00, 90.00 degrees
Space group Cmcm (No. 63)
Unique sites:
La (0.0000, 0.0175, 0.2500) (multiplicity 4)
La (0.0000, 0.1465, 0.5357) (multiplicity 8)
La (0.0000, 0.4535, 0.6006) (multiplicity 8)
Pr (0.0000, 0.2557, 0.7500) (multiplicity 4)
Sc (0.0000, 0.2690, 0.1499) (multiplicity 8)

---

DyMg5Sc: simulated PXRD pattern (a wavelength of 1.5418 Å), based on the PBE geometry in Alexandria.
No peak broadening, texture or thermal motion is included.

The 10 most intense peaks (2θ from 10° to 90°), sorted by position:
14.4 deg, intensity 37
18.0 deg, intensity 84
18.4 deg, intensity 44
19.5 deg, intensity 99
26.3 deg, intensity 80
32.8 deg, intensity 66
34.6 deg, intensity 100
34.7 deg, intensity 50
36.5 deg, intensity 76
37.3 deg, intensity 34

Cell lengths 6.0939, 9.6411, 6.5471 Å; angles 90.00, 109.97, 90.00 degrees
Space group C2/m (No. 12)
Unique sites:
Dy (0.0000, 0.0000, 0.0000) (multiplicity 2)
Mg (0.0000, 0.0000, 0.5000) (multiplicity 2)
Mg (0.1950, 0.2870, 0.2334) (multiplicity 8)
Sc (0.0000, 0.5000, 0.5000) (multiplicity 2)

---

EuHfFe4: simulated PXRD pattern (a wavelength of 1.5418 Å), based on the PBE geometry in Alexandria.
No peak broadening, texture or thermal motion is included.

The 10 most intense peaks (2θ from 10° to 90°), sorted by position:
21.5 deg, intensity 19
35.5 deg, intensity 70
42.0 deg, intensity 100
43.9 deg, intensity 13
56.1 deg, intensity 5
63.8 deg, intensity 26
68.2 deg, intensity 30
75.3 deg, intensity 22
79.4 deg, intensity 4
86.1 deg, intensity 12

Cell lengths 7.1428, 7.1428, 7.1428 Å; angles 90.00, 90.00, 90.00 degrees
Space group F-43m (No. 216)
Unique sites:
Eu (0.0000, 0.0000, 0.0000) (multiplicity 4)
Hf (0.2500, 0.2500, 0.2500) (multiplicity 4)
Fe (0.1244, 0.1244, 0.6244) (multiplicity 16)

---

OF: simulated PXRD pattern (a wavelength of 1.5418 Å), based on the PBE geometry in Alexandria.
No peak broadening, texture or thermal motion is included.

The 10 most intense peaks (2θ from 10° to 90°), sorted by position:
20.2 deg, intensity 8
24.3 deg, intensity 32
25.6 deg, intensity 94
29.9 deg, intensity 100
34.6 deg, intensity 21
34.8 deg, intensity 20
36.3 deg, intensity 41
36.5 deg, intensity 40
38.8 deg, intensity 40
41.0 deg, intensity 13

Cell lengths 3.6938, 3.7896, 4.8139 Å; angles 113.04, 95.90, 90.41 degrees
Space group P1 (No. 1)
Unique sites:
O (0.0000, 0.0000, 0.0000) (multiplicity 1)
O (0.0043, 0.8650, 0.7282) (multiplicity 1)
F (0.2842, 0.7923, 0.1632) (multiplicity 1)
F (0.7192, 0.4922, 0.5648) (multiplicity 1)

---

SrH10Pb2Br6O5: simulated PXRD pattern (a wavelength of 1.5418 Å), based on the PBE geometry in Alexandria.
No peak broadening, texture or thermal motion is included.

The 10 most intense peaks (2θ from 10° to 90°), sorted by position:
11.9 deg, intensity 100
18.9 deg, intensity 60
20.1 deg, intensity 70
25.2 deg, intensity 71
28.5 deg, intensity 59
29.6 deg, intensity 91
30.1 deg, intensity 98
36.0 deg, intensity 60
36.4 deg, intensity 94
39.3 deg, intensity 55

Cell lengths 15.6314, 12.5336, 9.4265 Å; angles 90.00, 114.97, 90.00 degrees
Space group C2/c (No. 15)
Unique sites:
Sr (0.0000, 0.0180, 0.2500) (multiplicity 4)
H (0.0546, 0.2689, 0.2738) (multiplicity 8)
H (0.0557, 0.1675, 0.5576) (multiplicity 8)
H (0.1404, 0.0895, 0.6157) (multiplicity 8)
H (0.1776, 0.1180, 0.2247) (multiplicity 8)
H (0.2105, 0.1172, 0.4076) (multiplicity 8)
Pb (0.1411, 0.4064, 0.9639) (multiplicity 8)
Br (0.0645, 0.3677, 0.6095) (multiplicity 8)
Br (0.1502, 0.1635, 0.9713) (multiplicity 8)
Br (0.1916, 0.3776, 0.3185) (multiplicity 8)
O (0.0000, 0.2217, 0.2500) (multiplicity 4)
O (0.0708, 0.0907, 0.5636) (multiplicity 8)
O (0.1699, 0.0802, 0.3104) (multiplicity 8)

---

PrNdPtSe: simulated PXRD pattern (a wavelength of 1.5418 Å), based on the PBE geometry in Alexandria.
No peak broadening, texture or thermal motion is included.

The 10 most intense peaks (2θ from 10° to 90°), sorted by position:
12.1 deg, intensity 17
29.6 deg, intensity 100
41.3 deg, intensity 39
43.4 deg, intensity 36
49.7 deg, intensity 7
53.4 deg, intensity 19
61.4 deg, intensity 12
68.1 deg, intensity 17
71.2 deg, intensity 16
78.2 deg, intensity 12

Cell lengths 4.1707, 4.1707, 22.0072 Å; angles 90.00, 90.00, 120.00 degrees
Space group R3m (No. 160, hexagonal axes)
Unique sites:
Pr (0.0000, 0.0000, 0.0000) (multiplicity 3)
Nd (0.0000, 0.0000, 0.5120) (multiplicity 3)
Pt (0.0000, 0.0000, 0.2553) (multiplicity 3)
Se (0.0000, 0.0000, 0.7566) (multiplicity 3)